Entry 1:
Starting from a cell relaxed with PBE, the XRD peak list of USi3Ni2 was simulated for a wavelength of 1.5418 Å.

Peak list (10 most intense, 2θ from 10° to 90°, most intense first)
d/Å, I (rel.)
2.492, 100
2.547, 72
3.485, 70
1.944, 47
5.899, 42
2.253, 38
1.545, 32
2.749, 26
2.174, 23
1.204, 20

Cell and atoms:
a = 12.1144 Å, b = 12.1144 Å, c = 12.1144 Å
α = 161.53°, β = 161.53°, γ = 26.23°
Positions (direct):
U1 0.1497 0.1497 0.0000
U2 0.8503 0.8503 0.0000
Si1 0.0496 0.5496 0.5000
Si2 0.3035 0.3035 0.0000
Si3 0.4504 0.9504 0.5000
Si4 0.5496 0.0496 0.5000
Si5 0.6965 0.6965 0.0000
Si6 0.9504 0.4504 0.5000
Ni1 0.2500 0.7500 0.5000
Ni2 0.4004 0.4004 0.0000
Ni3 0.5996 0.5996 0.0000
Ni4 0.7500 0.2500 0.5000

=====

Entry 2:
Starting from a cell relaxed with PBE, the XRD peak list of V3SiNi2 was simulated for a wavelength of 1.5418 Å.

Peak list (10 most intense, 2θ from 10° to 90°, most intense first)
d/Å, I (rel.)
2.043, 100
2.167, 27
1.876, 27
1.251, 24
3.064, 14
1.769, 13
6.128, 12
1.382, 8
1.158, 7
1.226, 7

Cell and atoms:
a = 7.5052 Å, b = 7.5052 Å, c = 7.5052 Å
α = 60.00°, β = 60.00°, γ = 60.00°
Positions (direct):
V1 0.0725 0.0725 0.6775
V2 0.0725 0.6775 0.0725
V3 0.0725 0.6775 0.6775
V4 0.3225 0.3225 0.9275
V5 0.3225 0.9275 0.3225
V6 0.3225 0.9275 0.9275
V7 0.6775 0.0725 0.0725
V8 0.6775 0.0725 0.6775
V9 0.6775 0.6775 0.0725
V10 0.9275 0.3225 0.3225
V11 0.9275 0.3225 0.9275
V12 0.9275 0.9275 0.3225
Si1 0.0000 0.5000 0.5000
Si2 0.5000 0.0000 0.5000
Si3 0.5000 0.5000 0.0000
Si4 0.5000 0.5000 0.5000
Ni1 0.2885 0.2885 0.2885
Ni2 0.2885 0.2885 0.6346
Ni3 0.2885 0.6346 0.2885
Ni4 0.3654 0.7115 0.7115
Ni5 0.6346 0.2885 0.2885
Ni6 0.7115 0.3654 0.7115
Ni7 0.7115 0.7115 0.3654
Ni8 0.7115 0.7115 0.7115

=====

Entry 3:
Starting from a cell relaxed with PBE, the XRD peak list of SiNiW was simulated for a wavelength of 1.5418 Å.

Peak list (10 most intense, 2θ from 10° to 90°, most intense first)
d/Å, I (rel.)
2.002, 100
2.169, 75
2.350, 45
2.152, 33
2.420, 30
4.150, 29
2.044, 28
2.809, 28
1.230, 21
1.344, 20

Cell and atoms:
a = 7.6334 Å, b = 4.7035 Å, c = 4.7035 Å
α = 61.93°, β = 90.00°, γ = 90.00°
Positions (direct):
Si1 0.0000 0.2450 0.7550
Si2 0.0000 0.7550 0.2450
Si3 0.2697 0.3952 0.3952
Si4 0.7303 0.3952 0.3952
Ni1 0.0000 0.2537 0.2537
Ni2 0.5000 0.0580 0.5727
Ni3 0.5000 0.5713 0.5713
Ni4 0.5000 0.5727 0.0580
W1 0.1877 0.7396 0.7396
W2 0.3077 0.0638 0.0638
W3 0.6923 0.0638 0.0638
W4 0.8123 0.7396 0.7396

=====

Entry 4:
Starting from a cell relaxed with PBE, the XRD peak list of YSi3Ni5 was simulated for a wavelength of 1.5418 Å.

Peak list (10 most intense, 2θ from 10° to 90°, most intense first)
d/Å, I (rel.)
2.317, 100
1.896, 32
2.409, 28
2.481, 20
2.077, 11
2.473, 11
1.991, 10
1.762, 10
1.658, 10
1.160, 10

Cell and atoms:
a = 18.7187 Å, b = 3.7918 Å, c = 6.6314 Å
α = 90.00°, β = 90.00°, γ = 90.00°
Positions (direct):
Y1 0.1437 0.2500 0.1229
Y2 0.3563 0.7500 0.6229
Y3 0.6437 0.2500 0.3771
Y4 0.8563 0.7500 0.8771
Si1 0.0744 0.7500 0.8441
Si2 0.0858 0.7500 0.4183
Si3 0.2374 0.2500 0.6216
Si4 0.2626 0.7500 0.1216
Si5 0.4142 0.2500 0.9183
Si6 0.4256 0.2500 0.3441
Si7 0.5744 0.7500 0.6559
Si8 0.5858 0.7500 0.0817
Si9 0.7374 0.2500 0.8784
Si10 0.7626 0.7500 0.3784
Si11 0.9142 0.2500 0.5817
Si12 0.9256 0.2500 0.1559
Ni1 0.0053 0.7500 0.1334
Ni2 0.0150 0.2500 0.3843
Ni3 0.1150 0.2500 0.6431
Ni4 0.1996 0.7500 0.8144
Ni5 0.2065 0.7500 0.4307
Ni6 0.2935 0.2500 0.9307
Ni7 0.3004 0.2500 0.3144
Ni8 0.3850 0.7500 0.1431
Ni9 0.4850 0.7500 0.8843
Ni10 0.4947 0.2500 0.6334
Ni11 0.5053 0.7500 0.3666
Ni12 0.5150 0.2500 0.1157
Ni13 0.6150 0.2500 0.8569
Ni14 0.6996 0.7500 0.6856
Ni15 0.7065 0.7500 0.0693
Ni16 0.7935 0.2500 0.5693
Ni17 0.8004 0.2500 0.1856
Ni18 0.8850 0.7500 0.3569
Ni19 0.9850 0.7500 0.6157
Ni20 0.9947 0.2500 0.8666